Entry 1:
Calculated X-ray powder pattern
Compound: Er3Fe8Os
Radiation: Cu Kα (weighted mean of Kα1 and Kα2)
Structure: the PBE geometry in Alexandria
Lines closer than 0.1° are merged.

Unit cell a=4.9973 b=4.9973 c=24.5535 alpha=90.00 beta=90.00 gamma=120.00
Space group R3m (No. 160, hexagonal axes)
Inequivalent atoms, fractional coordinates:
Er (0.0000, 0.0000, 0.0000) x3
Er (0.0000, 0.0000, 0.1279) x3
Er (0.0000, 0.0000, 0.6198) x3
Fe (0.0000, 0.0000, 0.3118) x3
Fe (0.0000, 0.0000, 0.8126) x3
Fe (0.0010, 0.5005, 0.5597) x9
Fe (0.0039, 0.5020, 0.0646) x9
Os (0.0000, 0.0000, 0.4983) x3

Principal peaks in the range 2θ = 5–70°, in order of falling intensity:
2θ/deg  I_rel
42.4  100
35.9  72
69.0  23
21.8  21
64.6  20
44.4  9

Entry 2:
Calculated X-ray powder pattern
Compound: ErTmFeOs
Radiation: Cu Kα (weighted mean of Kα1 and Kα2)
Structure: the PBE geometry in Alexandria
Lines closer than 0.1° are merged.

Unit cell a=6.7543 b=6.7543 c=6.7543 alpha=90.00 beta=90.00 gamma=90.00
Space group F-43m (No. 216)
Inequivalent atoms, fractional coordinates:
Er (0.0000, 0.0000, 0.0000) x4
Tm (0.0000, 0.0000, 0.5000) x4
Fe (0.2500, 0.2500, 0.2500) x4
Os (0.2500, 0.2500, 0.7500) x4

Principal peaks in the range 2θ = 5–70°, in order of falling intensity:
2θ/deg  I_rel
37.7  100
68.0  35
54.3  17
22.8  11
44.5  6
26.4  3

Entry 3:
Calculated X-ray powder pattern
Compound: ErFe4P12
Radiation: Cu Kα (weighted mean of Kα1 and Kα2)
Structure: the PBE geometry in Alexandria
Lines closer than 0.1° are merged.

Unit cell a=7.7708 b=7.7708 c=7.7708 alpha=90.00 beta=90.00 gamma=90.00
Space group Im-3 (No. 204)
Inequivalent atoms, fractional coordinates:
Er (0.0000, 0.0000, 0.0000) x2
Fe (0.2500, 0.2500, 0.2500) x8
P (0.0000, 0.3519, 0.1503) x24

Principal peaks in the range 2θ = 5–70°, in order of falling intensity:
2θ/deg  I_rel
36.6  100
32.6  88
43.6  78
58.2  61
16.1  56
60.8  47

Entry 4:
Calculated X-ray powder pattern
Compound: ErPa2Fe
Radiation: Cu Kα (weighted mean of Kα1 and Kα2)
Structure: the PBE geometry in Alexandria
Lines closer than 0.1° are merged.

Unit cell a=3.4120 b=3.4120 c=7.8909 alpha=90.00 beta=90.00 gamma=90.00
Space group P4/mmm (No. 123)
Inequivalent atoms, fractional coordinates:
Er (0.0000, 0.0000, 0.0000) x1
Pa (0.5000, 0.5000, 0.3192) x2
Fe (0.0000, 0.0000, 0.5000) x1

Principal peaks in the range 2θ = 5–70°, in order of falling intensity:
2θ/deg  I_rel
34.8  100
37.3  71
28.5  55
51.4  38
53.7  35
65.2  33

Entry 5:
Calculated X-ray powder pattern
Compound: PmErFe
Radiation: Cu Kα (weighted mean of Kα1 and Kα2)
Structure: the PBE geometry in Alexandria
Lines closer than 0.1° are merged.

Unit cell a=6.9025 b=12.0604 c=7.3273 alpha=90.00 beta=90.00 gamma=90.00
Space group Cmce (No. 64)
Inequivalent atoms, fractional coordinates:
Pm (0.0000, 0.1978, 0.1127) x8
Er (0.2500, 0.0415, 0.7500) x8
Fe (0.0000, 0.0904, 0.4582) x8

Principal peaks in the range 2θ = 5–70°, in order of falling intensity:
2θ/deg  I_rel
29.8  100
32.1  75
32.3  71
28.5  70
35.7  64
28.6  60

Entry 6:
Calculated X-ray powder pattern
Compound: Er4FePt
Radiation: Cu Kα (weighted mean of Kα1 and Kα2)
Structure: the PBE geometry in Alexandria
Lines closer than 0.1° are merged.

Unit cell a=8.7920 b=12.7324 c=6.1323 alpha=90.00 beta=122.77 gamma=90.00
Space group C2/c (No. 15)
Inequivalent atoms, fractional coordinates:
Er (0.1226, 0.1742, 0.0927) x8
Er (0.2072, 0.4373, 0.2837) x8
Fe (0.0000, 0.0017, 0.7500) x4
Pt (0.0000, 0.3634, 0.7500) x4

Principal peaks in the range 2θ = 5–70°, in order of falling intensity:
2θ/deg  I_rel
31.4  100
33.1  90
39.5  75
30.7  57
37.3  49
35.1  49

Entry 7:
Calculated X-ray powder pattern
Compound: ErPuFe
Radiation: Cu Kα (weighted mean of Kα1 and Kα2)
Structure: the PBE geometry in Alexandria
Lines closer than 0.1° are merged.

Unit cell a=3.4222 b=3.4222 c=11.0598 alpha=90.00 beta=90.00 gamma=90.00
Space group I4mm (No. 107)
Inequivalent atoms, fractional coordinates:
Er (0.0000, 0.0000, 0.0000) x2
Pu (0.0000, 0.0000, 0.2823) x2
Fe (0.0000, 0.0000, 0.6744) x2

Principal peaks in the range 2θ = 5–70°, in order of falling intensity:
2θ/deg  I_rel
35.8  100
37.2  59
27.3  48
66.1  34
50.1  26
32.4  22

Entry 8:
Calculated X-ray powder pattern
Compound: ErFe10Re2
Radiation: Cu Kα (weighted mean of Kα1 and Kα2)
Structure: the PBE geometry in Alexandria
Lines closer than 0.1° are merged.

Unit cell a=4.6897 b=8.4387 c=8.5936 alpha=90.00 beta=90.00 gamma=90.00
Space group Immm (No. 71)
Inequivalent atoms, fractional coordinates:
Er (0.0000, 0.0000, 0.0000) x2
Fe (0.0000, 0.2831, 0.5000) x4
Fe (0.0000, 0.3576, 0.0000) x4
Fe (0.0000, 0.5000, 0.2708) x4
Fe (0.2500, 0.2500, 0.2500) x8
Re (0.0000, 0.0000, 0.3576) x4

Principal peaks in the range 2θ = 5–70°, in order of falling intensity:
2θ/deg  I_rel
42.7  100
21.7  76
44.2  66
37.3  66
36.8  57
42.9  47